Diffraction record for CeCr2PO8. The PXRD pattern is computed, not measured: it uses a GGA+U-relaxed structure and Cu Kα X-rays.
Peak positions follow from Bragg's law for the DFT cell and can differ from measured ones.

Structure:
```
data_CeCr2PO8
_chemical_formula_sum 'Ce1 Cr2 P1 O8'
_space_group_name_H-M_alt 'P -3 m 1'
_space_group_IT_number 164
_space_group_name_Hall '-P 3 2"'
_cell_length_a 5.1640
_cell_length_b 5.1640
_cell_length_c 5.8420
_cell_angle_alpha 90.00
_cell_angle_beta 90.00
_cell_angle_gamma 120.00
loop_
_atom_site_label
_atom_site_type_symbol
_atom_site_fract_x
_atom_site_fract_y
_atom_site_fract_z
_atom_site_occupancy
Ce1 Ce 0.0000 0.0000 0.0000 1
Cr1 Cr 0.3333 0.6667 0.4347 1
P1 P 0.0000 0.0000 0.5000 1
O1 O 0.1579 0.3159 0.6642 1
O2 O 0.3333 0.6667 0.1456 1
```

Main lines, in order of rising 2θ (10° ≤ 2θ ≤ 90°):
Position (°2θ)  Rel. int.
19.85  69
25.08  100
30.61  18
34.74  86
36.75  31
43.33  54
46.97  57
51.16  25
51.47  26
56.69  24
70.99  16
73.33  16